# Cu9Au5
Computed powder diffraction line list, Cu Kα, 1.54184 Å. Input: a PBE-relaxed structure.
Peak positions follow from Bragg's law for the DFT cell and can differ from measured ones.

Cell and atoms:
```
data_Cu9Au5
_symmetry_space_group_name_H-M 'R -3 m'
_symmetry_Int_Tables_number 166
_symmetry_space_group_name_Hall '-R 3 2"'
_cell_length_a 4.8288
_cell_length_b 4.8288
_cell_length_c 29.8488
_cell_angle_alpha 90.00
_cell_angle_beta 90.00
_cell_angle_gamma 120.00
loop_
_atom_site_label
_atom_site_fract_x
_atom_site_fract_y
_atom_site_fract_z
Cu1 0.0000 0.0000 0.0000
Cu2 0.0000 0.0000 0.1383
Cu3 0.0030 0.5015 0.2643
Au1 0.0000 0.0000 0.2223
Au2 0.0000 0.0000 0.3196
Au3 0.0000 0.0000 0.5000
```

Most intense lines, 10 to 90 degrees two-theta, most intense first:
d/Å, intensity, index
2.414, 100, 1 1 0
2.276, 100, 0 1 11
1.366, 47, 1 2 11
2.172, 47, 1 1 6
2.013, 46, 0 2 4
1.952, 41, 1 1 9
2.071, 35, 2 0 2
2.986, 26, 1 0 7
1.207, 26, 2 2 0
4.027, 19, 0 1 2

# Ba2MgTcSe6
Computed powder diffraction line list, Cu Kα, 1.54184 Å. Input: a PBE-relaxed structure.
Peak positions follow from Bragg's law for the DFT cell and can differ from measured ones.

Cell and atoms:
```
data_Ba2MgTcSe6
_symmetry_space_group_name_H-M 'F m -3 m'
_symmetry_Int_Tables_number 225
_symmetry_space_group_name_Hall '-F 4 2 3'
_cell_length_a 10.1947
_cell_length_b 10.1947
_cell_length_c 10.1947
_cell_angle_alpha 90.00
_cell_angle_beta 90.00
_cell_angle_gamma 90.00
loop_
_atom_site_label
_atom_site_fract_x
_atom_site_fract_y
_atom_site_fract_z
Ba1 0.2500 0.2500 0.2500
Mg1 0.0000 0.0000 0.0000
Tc1 0.0000 0.0000 0.5000
Se1 0.0000 0.0000 0.2542
```

Most intense lines, 10 to 90 degrees two-theta, most intense first:
d/Å, intensity, index
2.549, 100, 4 0 0
2.943, 100, 2 2 2
1.802, 69, 4 4 0
1.537, 41, 6 2 2
3.604, 36, 2 2 0
1.140, 31, 8 4 0
1.471, 24, 4 4 4
1.169, 17, 6 6 2
2.081, 15, 4 2 2
5.886, 11, 1 1 1

# Ag17Bi
Computed powder diffraction line list, Cu Kα, 1.54184 Å. Input: a PBE-relaxed structure.
Peak positions follow from Bragg's law for the DFT cell and can differ from measured ones.

Cell and atoms:
```
data_Ag17Bi
_symmetry_space_group_name_H-M 'P 1 21/m 1'
_symmetry_Int_Tables_number 11
_symmetry_space_group_name_Hall '-P 2yb'
_cell_length_a 5.0392
_cell_length_b 5.8374
_cell_length_c 31.4185
_cell_angle_alpha 90.00
_cell_angle_beta 90.27
_cell_angle_gamma 90.00
loop_
_atom_site_label
_atom_site_fract_x
_atom_site_fract_y
_atom_site_fract_z
Ag1 0.0000 0.0000 0.0000
Ag2 0.9996 0.0031 0.2287
Ag3 0.1614 0.7500 0.3050
Ag4 0.1629 0.2500 0.8476
Ag5 0.1651 0.2500 0.0758
Ag6 0.1674 0.7500 0.0751
Ag7 0.1703 0.7500 0.8482
Ag8 0.3322 0.9999 0.1513
Ag9 0.3328 0.0020 0.9243
Ag10 0.3394 0.0047 0.6958
Ag11 0.4943 0.2500 0.2280
Ag12 0.4990 0.7500 0.2270
Ag13 0.5001 0.2500 0.0008
Bi1 0.1597 0.2500 0.3227
```

Most intense lines, 10 to 90 degrees two-theta, most intense first:
d/Å, intensity, index
2.403, 100, 2 0 -4
2.342, 52, 1 2 5
2.049, 38, 1 2 -9
2.417, 35, 0 0 13
2.126, 26, 1 2 -8
1.456, 20, 3 2 0
2.038, 19, 2 0 9
1.249, 16, 0 4 13
1.245, 14, 3 2 13
2.116, 11, 2 0 8

# TbPrAl2Pd4
Computed powder diffraction line list, Cu Kα, 1.54184 Å. Input: a PBE-relaxed structure.
Peak positions follow from Bragg's law for the DFT cell and can differ from measured ones.

Cell and atoms:
```
data_TbPrAl2Pd4
_symmetry_space_group_name_H-M 'P -6 m 2'
_symmetry_Int_Tables_number 187
_symmetry_space_group_name_Hall 'P -6 2'
_cell_length_a 4.4019
_cell_length_b 4.4019
_cell_length_c 9.2906
_cell_angle_alpha 90.00
_cell_angle_beta 90.00
_cell_angle_gamma 120.00
loop_
_atom_site_label
_atom_site_fract_x
_atom_site_fract_y
_atom_site_fract_z
Tb1 0.0000 0.0000 0.0000
Pr1 0.6667 0.3333 0.5000
Al1 0.3333 0.6667 0.2440
Pd1 0.0000 0.0000 0.3171
Pd2 0.6667 0.3333 0.1670
```

Most intense lines, 10 to 90 degrees two-theta, most intense first:
d/Å, intensity, index
2.404, 100, 1 0 3
2.201, 61, 1 1 0
3.812, 42, 1 0 0
1.623, 30, 2 0 3
1.306, 28, 2 1 3
1.266, 13, 1 1 6
1.271, 10, 3 0 0
1.435, 8, 1 0 6
1.100, 7, 2 2 0
1.906, 6, 2 0 0